# CaPu3Pt3
Calculated powder diffractogram, Cu Ka. Input: the GGA-PBE geometry in Alexandria.
Intensities are scaled so that the largest is 100.

Crystal structure
Lattice parameters (Å, degrees): 6.101 6.101 6.101 110.16 110.16 110.16
Fractional positions:
Ca1 0.000 0.000 0.000
Pu1 0.000 0.500 0.500
Pu2 0.500 0.000 0.500
Pu3 0.500 0.500 0.000
Pt1 0.000 0.000 0.500
Pt2 0.000 0.500 0.000
Pt3 0.500 0.000 0.000

Peak list (6 most intense, 2θ = 10–80°, most intense first)
35.9 deg, d = 2.501 Å, intensity 100.0; 36.9 deg, d = 2.436 Å, intensity 92.9; 17.7 deg, d = 5.002 Å, intensity 46.7; 65.2 deg, d = 1.431 Å, intensity 36.3; 52.4 deg, d = 1.745 Å, intensity 34.6; 64.5 deg, d = 1.444 Å, intensity 18.7